Record 1
# Ba2MgTl6Ag
Computed X-ray diffraction stick pattern, Cu Kα (weighted mean of Kα1 and Kα2). Input: a crystal structure in Alexandria, relaxed with PBE.
Neutral-atom scattering factors, no anomalous dispersion.

Cell and atoms:
```
10
Lattice="7.1549 -3.1785 0.0000 7.1549 3.1785 0.0000 -6.7168 0.0000 7.2033" Properties=species:S:1:pos:R:3 pbc="T T T"
Ba -1.6391 0.0000 1.9228
Ba 9.2321 0.0000 5.2805
Mg 7.1549 0.0000 0.0000
Tl 1.6933 1.5698 2.0341
Tl 4.2229 0.0000 0.6446
Tl 1.6933 -1.5698 2.0341
Tl 5.8997 1.5698 5.1692
Tl 3.3701 0.0000 6.5587
Tl 5.8997 -1.5698 5.1692
Ag 3.7965 0.0000 3.6016
```

Main lines, sorted by position (15° ≤ 2θ ≤ 90°):
5.233 Å, I 54; 3.140 Å, I 33; 2.717 Å, I 68; 2.671 Å, I 100; 2.607 Å, I 36; 2.589 Å, I 38; 2.462 Å, I 47; 2.383 Å, I 35


Record 2
# HoRhPbAu
Computed X-ray diffraction stick pattern, Cu Kα (weighted mean of Kα1 and Kα2). Input: a crystal structure in Alexandria, relaxed with PBE.
Neutral-atom scattering factors, no anomalous dispersion.

Cell and atoms:
```
16
Lattice="6.9453 0.0000 0.0000 0.0000 6.9453 0.0000 0.0000 0.0000 6.9453" Properties=species:S:1:pos:R:3 pbc="T T T"
Ho 0.0000 0.0000 0.0000
Ho 0.0000 3.4727 3.4727
Ho 3.4727 0.0000 3.4727
Ho 3.4727 3.4727 0.0000
Rh 1.7363 1.7363 1.7363
Rh 1.7363 5.2090 5.2090
Rh 5.2090 1.7363 5.2090
Rh 5.2090 5.2090 1.7363
Pb 0.0000 0.0000 3.4727
Pb 0.0000 3.4727 0.0000
Pb 3.4727 0.0000 0.0000
Pb 3.4727 3.4727 3.4727
Au 1.7363 1.7363 5.2090
Au 1.7363 5.2090 1.7363
Au 5.2090 1.7363 1.7363
Au 5.2090 5.2090 5.2090
```

Main lines, sorted by position (15° ≤ 2θ ≤ 90°):
4.010 Å, I 5; 2.456 Å, I 100; 2.094 Å, I 3; 1.736 Å, I 18; 1.593 Å, I 1; 1.418 Å, I 36; 1.228 Å, I 12; 1.098 Å, I 17


Record 3
# Ba8LiNb7O24
Computed X-ray diffraction stick pattern, Cu Kα (weighted mean of Kα1 and Kα2). Input: a crystal structure in Alexandria, relaxed with PBE.
Neutral-atom scattering factors, no anomalous dispersion.

Cell and atoms:
```
40
Lattice="5.9190 0.0000 0.0000 -2.9595 5.1260 0.0000 0.0000 0.0000 19.2509" Properties=species:S:1:pos:R:3 pbc="T T T"
Ba 0.0000 0.0000 0.0000
Ba 0.0000 0.0000 4.3041
Ba 0.0000 0.0000 11.8812
Ba 0.0000 3.4174 7.0140
Ba 0.0000 3.4174 16.7446
Ba 2.9595 1.7087 2.2797
Ba 2.9595 1.7087 9.6329
Ba 2.9595 1.7087 14.0968
Li 0.0000 3.4174 3.8718
Nb 0.0000 0.0000 8.2447
Nb 0.0000 0.0000 15.5274
Nb 0.0000 3.4174 1.1188
Nb 0.0000 3.4174 10.6061
Nb 0.0000 3.4174 13.2148
Nb 2.9595 1.7087 5.8188
Nb 2.9595 1.7087 17.8544
O -1.4345 2.5892 11.8969
O 0.0000 1.6833 9.4853
O -1.5017 4.2844 9.4853
O 0.0000 1.6895 14.3361
O -1.4963 4.2813 14.3361
O 0.0000 1.7892 2.1372
O -1.4100 4.2314 2.1372
O 1.4753 0.8518 7.1789
O 1.4868 0.8584 16.6799
O 1.4345 2.5892 11.8969
O 0.0000 5.0738 11.8969
O 2.9595 0.0185 19.0225
O 1.4958 2.5538 19.0225
O 2.9595 0.0705 4.8155
O 1.5408 2.5278 4.8155
O 1.4100 4.2314 2.1372
O 1.4963 4.2813 14.3361
O 1.5017 4.2844 9.4853
O 4.4323 0.8584 16.6799
O 2.9595 3.4092 16.6799
O 4.4438 0.8518 7.1789
O 2.9595 3.4225 7.1789
O 4.3782 2.5278 4.8155
O 4.4233 2.5538 19.0225
```

Main lines, sorted by position (15° ≤ 2θ ≤ 90°):
3.079 Å, I 70; 2.960 Å, I 100; 2.720 Å, I 22; 2.134 Å, I 40; 2.003 Å, I 16; 1.731 Å, I 26; 1.709 Å, I 20; 1.480 Å, I 20


Record 4
# Li4PmPb
Computed X-ray diffraction stick pattern, Cu Kα (weighted mean of Kα1 and Kα2). Input: a crystal structure in Alexandria, relaxed with PBE.
Neutral-atom scattering factors, no anomalous dispersion.

Cell and atoms:
```
6
Lattice="0.0000 4.0031 4.0031 4.0031 0.0000 4.0031 4.0031 4.0031 0.0000" Properties=species:S:1:pos:R:3 pbc="T T T"
Li 1.0021 1.0021 1.0021
Li 3.0010 3.0010 1.0021
Li 3.0010 1.0021 3.0010
Li 1.0021 3.0010 3.0010
Pm 4.0031 4.0031 4.0031
Pb 6.0047 6.0047 6.0047
```

Main lines, sorted by position (15° ≤ 2θ ≤ 90°):
4.622 Å, I 100; 2.831 Å, I 95; 2.414 Å, I 69; 1.837 Å, I 26; 1.634 Å, I 38; 1.541 Å, I 23; 1.353 Å, I 20; 1.266 Å, I 17


Record 5
# Mo7C5
Computed X-ray diffraction stick pattern, Cu Kα (weighted mean of Kα1 and Kα2). Input: a crystal structure in Alexandria, relaxed with PBE.
Neutral-atom scattering factors, no anomalous dispersion.

Cell and atoms:
```
12
Lattice="-3.6962 3.6962 2.9992 3.6962 -3.6962 2.9992 3.6962 3.6962 -2.9992" Properties=species:S:1:pos:R:3 pbc="T T T"
Mo 0.0000 0.0000 0.0000
Mo 3.6962 0.0000 1.9843
Mo 3.6962 1.9433 0.4164
Mo 1.9433 3.6962 0.4164
Mo 1.7528 0.0000 3.4155
Mo 0.0000 1.7528 3.4155
Mo 0.0000 3.6962 1.9843
C 1.4784 1.4784 -0.8929
C 2.2178 -2.2178 2.1063
C 0.0000 0.0000 2.0113
C -2.2178 2.2178 2.1063
C 2.2178 2.2178 2.1063
```

Main lines, sorted by position (15° ≤ 2θ ≤ 90°):
4.658 Å, I 40; 3.696 Å, I 50; 2.895 Å, I 100; 2.601 Å, I 41; 1.970 Å, I 72; 1.940 Å, I 50; 1.848 Å, I 45; 1.306 Å, I 27


Record 6
# Cs3CeS3
Computed X-ray diffraction stick pattern, Cu Kα (weighted mean of Kα1 and Kα2). Input: a crystal structure in Alexandria, relaxed with PBE.
Neutral-atom scattering factors, no anomalous dispersion.

Cell and atoms:
```
28
Lattice="9.9253 0.0000 0.0000 0.0000 8.8924 0.0000 -1.0983 0.0000 13.9371" Properties=species:S:1:pos:R:3 pbc="T T T"
Cs 0.5403 1.2181 1.9831
Cs -0.0088 3.2281 8.9516
Cs 2.6252 6.3341 11.1853
Cs 3.1744 7.0045 4.2167
Cs 2.7167 1.7132 12.8691
Cs 3.2659 2.7329 5.9005
Cs 5.5611 6.1594 8.0365
Cs 6.1103 7.1791 1.0680
Cs 5.6527 1.8879 9.7203
Cs 6.2018 2.5583 2.7518
Cs 8.8358 5.6643 4.9854
Cs 8.2867 7.6743 11.9540
Ce 1.5523 5.2182 0.8800
Ce 1.0032 8.1204 7.8485
Ce 7.8238 0.7720 6.0886
Ce 7.2747 3.6742 13.0571
S 0.5686 0.4351 5.4271
S 0.0194 4.0111 12.3957
S 1.9742 5.6715 7.4198
S 2.5234 7.6671 0.4512
S 2.5316 0.6620 9.4517
S 3.0807 3.7842 2.4831
S 5.7463 5.1082 11.4539
S 6.2954 8.2304 4.4854
S 6.3036 1.2253 13.4858
S 6.8528 3.2209 6.5173
S 8.8076 4.8813 1.5414
S 8.2584 8.4573 8.5099
```

Main lines, sorted by position (15° ≤ 2θ ≤ 90°):
4.198 Å, I 47; 3.895 Å, I 91; 3.861 Å, I 100; 3.792 Å, I 61; 3.560 Å, I 33; 3.244 Å, I 80; 3.070 Å, I 29; 2.633 Å, I 28


Please write out number 3 again, unchanged.
# Ba8LiNb7O24
Computed X-ray diffraction stick pattern, Cu Kα (weighted mean of Kα1 and Kα2). Input: a crystal structure in Alexandria, relaxed with PBE.
Neutral-atom scattering factors, no anomalous dispersion.

Cell and atoms:
```
40
Lattice="5.9190 0.0000 0.0000 -2.9595 5.1260 0.0000 0.0000 0.0000 19.2509" Properties=species:S:1:pos:R:3 pbc="T T T"
Ba 0.0000 0.0000 0.0000
Ba 0.0000 0.0000 4.3041
Ba 0.0000 0.0000 11.8812
Ba 0.0000 3.4174 7.0140
Ba 0.0000 3.4174 16.7446
Ba 2.9595 1.7087 2.2797
Ba 2.9595 1.7087 9.6329
Ba 2.9595 1.7087 14.0968
Li 0.0000 3.4174 3.8718
Nb 0.0000 0.0000 8.2447
Nb 0.0000 0.0000 15.5274
Nb 0.0000 3.4174 1.1188
Nb 0.0000 3.4174 10.6061
Nb 0.0000 3.4174 13.2148
Nb 2.9595 1.7087 5.8188
Nb 2.9595 1.7087 17.8544
O -1.4345 2.5892 11.8969
O 0.0000 1.6833 9.4853
O -1.5017 4.2844 9.4853
O 0.0000 1.6895 14.3361
O -1.4963 4.2813 14.3361
O 0.0000 1.7892 2.1372
O -1.4100 4.2314 2.1372
O 1.4753 0.8518 7.1789
O 1.4868 0.8584 16.6799
O 1.4345 2.5892 11.8969
O 0.0000 5.0738 11.8969
O 2.9595 0.0185 19.0225
O 1.4958 2.5538 19.0225
O 2.9595 0.0705 4.8155
O 1.5408 2.5278 4.8155
O 1.4100 4.2314 2.1372
O 1.4963 4.2813 14.3361
O 1.5017 4.2844 9.4853
O 4.4323 0.8584 16.6799
O 2.9595 3.4092 16.6799
O 4.4438 0.8518 7.1789
O 2.9595 3.4225 7.1789
O 4.3782 2.5278 4.8155
O 4.4233 2.5538 19.0225
```

Main lines, sorted by position (15° ≤ 2θ ≤ 90°):
3.079 Å, I 70; 2.960 Å, I 100; 2.720 Å, I 22; 2.134 Å, I 40; 2.003 Å, I 16; 1.731 Å, I 26; 1.709 Å, I 20; 1.480 Å, I 20